Record 1
The following is a calculated powder diffraction line list of FeSO8. It was derived from a crystal structure in the Materials Project, relaxed with GGA+U, using Cu Kα (weighted mean of Kα1 and Kα2).
Lines closer than 0.1° are merged.

Atomic structure:
Unit cell a=6.558 b=8.121 c=12.552 alpha=73.01 beta=79.09 gamma=82.79
Positions (direct):
Fe1 0.165 0.396 0.075
Fe2 0.291 0.470 0.772
Fe3 0.709 0.530 0.228
Fe4 0.835 0.604 0.925
S1 0.068 0.322 0.348
S2 0.411 0.743 0.063
S3 0.589 0.257 0.937
S4 0.932 0.678 0.652
O1 0.012 0.784 0.929
O2 0.041 0.079 0.779
O3 0.054 0.813 0.573
O4 0.072 0.509 0.684
O5 0.133 0.937 0.800
O6 0.137 0.508 0.908
O7 0.160 0.276 0.241
O8 0.234 0.363 0.401
O9 0.273 0.597 0.105
O10 0.299 0.910 0.044
O11 0.398 0.791 0.390
O12 0.423 0.933 0.313
O13 0.442 0.280 0.039
O14 0.454 0.627 0.703
O15 0.459 0.335 0.611
O16 0.460 0.276 0.843
O17 0.540 0.724 0.157
O18 0.541 0.665 0.389
O19 0.546 0.373 0.297
O20 0.558 0.720 0.961
O21 0.577 0.067 0.687
O22 0.602 0.209 0.610
O23 0.701 0.090 0.956
O24 0.727 0.403 0.895
O25 0.766 0.637 0.599
O26 0.840 0.724 0.759
O27 0.863 0.492 0.092
O28 0.867 0.063 0.200
O29 0.928 0.491 0.316
O30 0.946 0.187 0.427
O31 0.959 0.921 0.221
O32 0.988 0.216 0.071

Top 6 peaks for 2θ = 10–90°, sorted by position:
| hkl | 2θ/deg | I_rel |
| --- | --- | --- |
| 0 1 0 | 11.43 | 100 |
| 1 1 1 | 16.54 | 37 |
| 0 2 2 | 23.74 | 20 |
| 1 2 1 | 24.50 | 61 |
| 1 2 0 | 25.97 | 23 |
| -1 1 3 | 28.61 | 37 |

=====

Record 2
The following is a calculated powder diffraction line list of LiMg14FeO16. It was derived from a crystal structure in the Materials Project, relaxed with GGA+U, using Cu Kα (weighted mean of Kα1 and Kα2).
Lines closer than 0.1° are merged.

Atomic structure:
Unit cell a=4.248 b=8.506 c=8.513 alpha=90.00 beta=90.00 gamma=90.00
Positions (direct):
Li1 0.000 0.000 0.000
Mg1 0.000 0.249 0.243
Mg2 0.000 0.249 0.757
Mg3 0.000 0.500 0.000
Mg4 0.000 0.500 0.500
Mg5 0.000 0.751 0.243
Mg6 0.000 0.751 0.757
Mg7 0.500 0.000 0.240
Mg8 0.500 0.000 0.760
Mg9 0.500 0.244 0.000
Mg10 0.500 0.252 0.500
Mg11 0.500 0.500 0.248
Mg12 0.500 0.500 0.752
Mg13 0.500 0.748 0.500
Mg14 0.500 0.756 0.000
Fe1 0.000 0.000 0.500
O1 0.000 0.000 0.265
O2 0.000 0.000 0.735
O3 0.000 0.245 0.500
O4 0.000 0.256 0.000
O5 0.000 0.500 0.254
O6 0.000 0.500 0.746
O7 0.000 0.744 0.000
O8 0.000 0.755 0.500
O9 0.500 0.000 0.000
O10 0.500 0.000 0.500
O11 0.500 0.249 0.252
O12 0.500 0.249 0.748
O13 0.500 0.500 0.000
O14 0.500 0.500 0.500
O15 0.500 0.751 0.252
O16 0.500 0.751 0.748

Top 6 peaks for 2θ = 10–90°, sorted by position:
| hkl | 2θ/deg | I_rel |
| --- | --- | --- |
| 0 0 1 | 10.39 | 6 |
| 0 1 1 | 14.72 | 6 |
| 1 2 2 | 36.60 | 12 |
| 2 0 0 | 42.52 | 100 |
| 2 4 0 | 61.70 | 56 |
| 2 4 4 | 77.80 | 17 |

=====

Record 3
The following is a calculated powder diffraction line list of Li8CoO4F2. It was derived from a crystal structure in the Materials Project, relaxed with GGA+U, using Cu Kα (weighted mean of Kα1 and Kα2).
Lines closer than 0.1° are merged.

Atomic structure:
Unit cell a=5.473 b=5.518 c=10.787 alpha=75.66 beta=76.74 gamma=60.93
Positions (direct):
Li1 0.049 0.225 0.333
Li2 0.093 0.933 0.165
Li3 0.225 0.383 0.822
Li4 0.235 0.677 0.986
Li5 0.306 0.088 0.680
Li6 0.408 0.567 0.318
Li7 0.413 0.785 0.503
Li8 0.423 0.296 0.184
Li9 0.577 0.704 0.816
Li10 0.587 0.215 0.497
Li11 0.592 0.433 0.682
Li12 0.694 0.912 0.320
Li13 0.765 0.323 0.014
Li14 0.775 0.617 0.178
Li15 0.907 0.067 0.835
Li16 0.951 0.775 0.667
Co1 0.000 0.500 0.500
Co2 0.500 0.000 0.000
O1 0.245 0.022 0.879
O2 0.279 0.460 0.617
O3 0.353 0.230 0.380
O4 0.459 0.641 0.119
O5 0.541 0.359 0.881
O6 0.647 0.770 0.620
O7 0.721 0.540 0.383
O8 0.755 0.978 0.121
F1 0.043 0.882 0.357
F2 0.105 0.289 0.138
F3 0.895 0.711 0.862
F4 0.957 0.118 0.643

Top 6 peaks for 2θ = 10–90°, sorted by position:
| hkl | 2θ/deg | I_rel |
| --- | --- | --- |
| 0 0 2 | 17.11 | 49 |
| 0 1 1 | 19.23 | 51 |
| 1 0 1 | 19.53 | 100 |
| -1 1 2 | 36.34 | 65 |
| 1 2 -1 | 36.82 | 65 |
| 2 1 3 | 37.53 | 52 |

=====

Record 4
The following is a calculated powder diffraction line list of LiV2P5O15. It was derived from a crystal structure in the Materials Project, relaxed with GGA+U, using Cu Kα (weighted mean of Kα1 and Kα2).
Lines closer than 0.1° are merged.

Atomic structure:
Unit cell a=5.362 b=8.899 c=13.621 alpha=90.00 beta=110.79 gamma=90.00
Positions (direct):
Li1 0.000 0.006 0.000
Li2 0.000 0.994 0.500
V1 0.814 0.305 0.511
V2 0.814 0.695 0.011
V3 0.955 0.305 0.899
V4 0.955 0.695 0.399
P1 0.208 0.185 0.370
P2 0.208 0.815 0.870
P3 0.349 0.489 0.313
P4 0.349 0.511 0.813
P5 0.425 0.487 0.099
P6 0.425 0.513 0.599
P7 0.563 0.180 0.043
P8 0.563 0.820 0.543
P9 0.891 0.038 0.706
P10 0.891 0.962 0.206
O1 0.006 0.172 0.423
O2 0.006 0.828 0.923
O3 0.128 0.080 0.267
O4 0.128 0.920 0.767
O5 0.148 0.484 0.015
O6 0.148 0.516 0.515
O7 0.165 0.350 0.320
O8 0.165 0.650 0.820
O9 0.184 0.374 0.804
O10 0.184 0.626 0.304
O11 0.271 0.151 0.983
O12 0.271 0.849 0.483
O13 0.386 0.447 0.206
O14 0.386 0.553 0.706
O15 0.495 0.157 0.434
O16 0.495 0.843 0.934
O17 0.596 0.378 0.609
O18 0.596 0.622 0.109
O19 0.603 0.346 0.092
O20 0.603 0.654 0.592
O21 0.626 0.485 0.397
O22 0.626 0.515 0.897
O23 0.643 0.076 0.145
O24 0.643 0.924 0.645
O25 0.759 0.170 0.987
O26 0.759 0.830 0.487
O27 0.810 0.126 0.782
O28 0.810 0.874 0.282
O29 0.976 0.111 0.623
O30 0.976 0.889 0.123

Top 6 peaks for 2θ = 10–90°, sorted by position:
| hkl | 2θ/deg | I_rel |
| --- | --- | --- |
| 1 1 0 | 20.33 | 81 |
| 1 1 -2 | 20.80 | 57 |
| 1 1 -3 | 24.30 | 87 |
| 0 2 2 | 24.41 | 100 |
| 1 0 2 | 26.24 | 65 |
| 0 2 3 | 29.09 | 62 |

=====

Record 5
The following is a calculated powder diffraction line list of Li3MnPCO7. It was derived from a crystal structure in the Materials Project, relaxed with GGA+U, using Cu Kα (weighted mean of Kα1 and Kα2).
Lines closer than 0.1° are merged.

Atomic structure:
Unit cell a=5.021 b=6.581 c=8.638 alpha=90.00 beta=96.55 gamma=90.00
Positions (direct):
Li1 0.201 0.250 0.103
Li2 0.271 0.522 0.732
Li3 0.271 0.978 0.732
Li4 0.729 0.022 0.268
Li5 0.729 0.478 0.268
Li6 0.799 0.750 0.897
Mn1 0.219 0.750 0.341
Mn2 0.781 0.250 0.659
P1 0.263 0.250 0.407
P2 0.737 0.750 0.593
C1 0.329 0.750 0.039
C2 0.671 0.250 0.961
O1 0.081 0.750 0.064
O2 0.152 0.066 0.306
O3 0.152 0.434 0.306
O4 0.175 0.250 0.572
O5 0.402 0.750 0.899
O6 0.424 0.750 0.578
O7 0.488 0.250 0.839
O8 0.512 0.750 0.161
O9 0.576 0.250 0.422
O10 0.598 0.250 0.101
O11 0.825 0.750 0.428
O12 0.848 0.566 0.694
O13 0.848 0.934 0.694
O14 0.919 0.250 0.936

Top 6 peaks for 2θ = 10–90°, sorted by position:
| hkl | 2θ/deg | I_rel |
| --- | --- | --- |
| 0 0 1 | 10.31 | 82 |
| 1 0 -1 | 19.54 | 29 |
| 1 0 1 | 21.60 | 54 |
| 1 0 -2 | 25.80 | 33 |
| 0 2 0 | 27.10 | 100 |
| 2 0 -1 | 36.35 | 33 |

=====

Record 6
The following is a calculated powder diffraction line list of Mn5V2Pb3O16. It was derived from a crystal structure in the Materials Project, relaxed with GGA+U, using Cu Kα (weighted mean of Kα1 and Kα2).
Lines closer than 0.1° are merged.

Atomic structure:
Unit cell a=5.849 b=5.849 c=11.450 alpha=90.00 beta=90.00 gamma=120.00
Positions (direct):
Mn1 0.000 0.000 0.190
Mn2 0.000 0.000 0.810
Mn3 0.000 0.500 0.000
Mn4 0.500 0.000 0.000
Mn5 0.500 0.500 0.000
V1 0.333 0.667 0.359
V2 0.667 0.333 0.641
Pb1 0.000 0.000 0.500
Pb2 0.333 0.667 0.735
Pb3 0.667 0.333 0.265
O1 0.165 0.331 0.315
O2 0.165 0.835 0.315
O3 0.178 0.356 0.906
O4 0.178 0.822 0.906
O5 0.331 0.165 0.685
O6 0.333 0.667 0.085
O7 0.333 0.667 0.507
O8 0.356 0.178 0.094
O9 0.644 0.822 0.906
O10 0.667 0.333 0.493
O11 0.667 0.333 0.915
O12 0.669 0.835 0.315
O13 0.822 0.178 0.094
O14 0.822 0.644 0.094
O15 0.835 0.165 0.685
O16 0.835 0.669 0.685

Top 6 peaks for 2θ = 10–90°, sorted by position:
| hkl | 2θ/deg | I_rel |
| --- | --- | --- |
| 0 1 1 | 19.16 | 80 |
| 1 0 3 | 29.30 | 100 |
| 1 1 0 | 30.57 | 84 |
| 2 0 2 | 38.87 | 46 |
| 0 2 3 | 42.86 | 37 |
| 2 1 3 | 53.55 | 39 |